# SrCoSbO5
Calculated PXRD pattern, λ = 1.5418 Å (Cu Kα). Input: a PBE+U-relaxed structure.
Lines closer than 0.1° are merged.

Cell and atoms:
Lattice parameters (Å, degrees): 5.839 5.839 7.450 102.93 102.93 108.43
Sites, in units of the cell vectors:
Sr (0.166, 0.834, 0.750)
Sr (0.834, 0.166, 0.250)
Co (0.183, 0.817, 0.250)
Co (0.817, 0.183, 0.750)
Sb (0.500, 0.500, 0.000)
Sb (0.500, 0.500, 0.500)
O (0.133, 0.248, 0.922)
O (0.208, 0.601, 0.400)
O (0.248, 0.133, 0.422)
O (0.399, 0.792, 0.100)
O (0.427, 0.573, 0.750)
O (0.573, 0.427, 0.250)
O (0.601, 0.208, 0.900)
O (0.752, 0.867, 0.578)
O (0.792, 0.399, 0.600)
O (0.867, 0.752, 0.078)

Principal peaks in the range 2θ = 15–90°, in order of rising 2θ:
| two_theta | I (rel.) |
| --- | --- |
| 16.88 | 29 |
| 26.05 | 100 |
| 28.29 | 75 |
| 31.69 | 85 |
| 32.15 | 57 |
| 35.45 | 22 |
| 35.81 | 22 |
| 41.99 | 24 |
| 49.95 | 19 |
| 52.27 | 29 |
| 54.51 | 18 |
| 57.77 | 21 |